(1)
Diffraction record for Ba4Y3F17. The powder diffraction line list is computed, not measured: it uses a DFT-relaxed cell (GGA-PBE, Alexandria) and λ = 1.5418 Å (Cu Kα).
Neutral-atom scattering factors, no anomalous dispersion.

Structural model:
```
48
Lattice="9.386 0.000 0.000 2.743 9.024 0.000 2.788 2.084 8.844" Properties=species:S:1:pos:R:3 pbc="T T T"
Ba 0.000 0.000 0.000
Ba 4.325 7.268 6.960
Ba 5.487 9.302 3.264
Ba 4.457 5.521 1.501
Ba 6.627 3.791 8.278
Ba 8.346 9.134 6.546
Ba 6.744 2.074 2.859
Ba 8.264 7.257 0.884
Y 3.571 3.717 5.205
Y 7.260 5.558 4.618
Y 10.247 5.613 7.859
Y 9.463 2.009 5.832
Y 11.157 7.477 3.942
Y 10.252 3.647 1.943
F 2.345 1.805 5.777
F 3.353 5.918 4.508
F 3.426 7.818 2.407
F 1.708 1.653 1.200
F 2.854 3.343 3.071
F 2.512 4.019 0.359
F 6.260 8.659 8.129
F 4.614 2.644 6.965
F 5.557 5.064 6.115
F 6.446 7.608 5.316
F 5.572 8.109 0.416
F 4.679 1.727 4.481
F 5.484 4.289 3.695
F 6.474 6.712 2.814
F 4.828 0.655 1.683
F 5.785 3.236 0.603
F 8.307 5.748 6.648
F 9.389 7.625 8.512
F 7.734 3.394 5.269
F 10.461 10.582 7.301
F 8.962 7.018 4.159
F 8.307 4.538 2.835
F 10.369 9.497 4.775
F 9.723 3.412 7.665
F 10.298 8.593 2.102
F 10.895 7.061 6.226
F 8.488 2.465 0.877
F 9.200 4.797 0.147
F 12.885 9.705 7.709
F 9.618 2.083 3.501
F 10.605 4.001 5.188
F 10.855 5.784 2.382
F 12.798 8.808 4.987
F 12.276 4.756 7.153
```

Main lines, by angle (2θ from 5° to 70°):
2θ (°)  I/Imax
25.70  100
25.83  49
25.96  46
29.67  25
29.94  24
42.66  41
42.77  40
50.62  26

***

(2)
Diffraction record for Ba4LiCa8. The powder diffraction line list is computed, not measured: it uses a DFT-relaxed cell (GGA-PBE, Alexandria) and λ = 1.5418 Å (Cu Kα).
Neutral-atom scattering factors, no anomalous dispersion.

Structural model:
```
13
Lattice="5.530 -3.192 0.000 5.530 3.192 0.000 -3.768 0.000 16.915" Properties=species:S:1:pos:R:3 pbc="T T T"
Ba -0.009 0.000 5.865
Ba 3.687 0.000 0.764
Ba 3.604 0.000 16.151
Ba 7.300 0.000 11.050
Li 3.646 0.000 8.457
Ca -0.001 0.000 1.991
Ca -0.069 0.000 9.661
Ca -0.078 0.000 13.533
Ca 3.679 0.000 4.747
Ca 3.613 0.000 12.168
Ca 7.369 0.000 3.382
Ca 7.360 0.000 7.254
Ca 7.292 0.000 14.924
```

Main lines, by angle (2θ from 5° to 70°):
2θ (°)  I/Imax
15.72  9
17.50  24
27.97  100
39.92  12
49.42  16
49.51  19
57.75  8
65.32  8

***

(3)
Diffraction record for Y2CrH6. The powder diffraction line list is computed, not measured: it uses a DFT-relaxed cell (GGA-PBE, Alexandria) and λ = 1.5418 Å (Cu Kα).
Neutral-atom scattering factors, no anomalous dispersion.

Structural model:
```
9
Lattice="0.000 3.488 3.488 3.488 0.000 3.488 3.488 3.488 0.000" Properties=species:S:1:pos:R:3 pbc="T T T"
Y 1.744 1.744 1.744
Y 5.232 5.232 5.232
Cr 0.000 0.000 0.000
H 3.488 3.488 1.722
H 3.488 1.722 3.488
H 5.254 3.488 3.488
H 1.722 3.488 3.488
H 3.488 5.254 3.488
H 3.488 3.488 5.254
```

Main lines, by angle (2θ from 5° to 70°):
2θ (°)  I/Imax
22.07  14
25.54  37
36.43  100
43.00  6
45.02  12
52.47  18
59.24  14
65.56  33